Calculated XRD peak list
Compound: Mn2CuO4
Radiation: Cu Kα (λ = 1.5418 Å)
Structure: a cell relaxed with GGA+U
Peak positions follow from Bragg's law for the DFT cell and can differ from measured ones.

Principal peaks in the range 2θ from 10° to 90°, by intensity:
| 2θ (°) | I (rel.) | (hkl) |
| --- | --- | --- |
| 35.84 | 100 | 1 1 12 |
| 35.45 | 48 | 0 1 20 |
| 36.04 | 41 | 0 2 4 |
| 63.73 | 40 | 2 2 0 |
| 62.71 | 40 | 2 0 32 |
| 30.61 | 35 | 1 1 0 |
| 30.16 | 30 | 1 0 16 |
| 43.51 | 29 | 0 2 16 |
| 57.60 | 29 | 1 2 20 |
| 57.87 | 23 | 0 3 12 |

Atomic structure:
```
data_Mn2CuO4
_symmetry_space_group_name_H-M 'R 3 m'
_symmetry_Int_Tables_number 160
_symmetry_space_group_name_Hall 'R 3 -2"'
_cell_length_a 5.8410
_cell_length_b 5.8410
_cell_length_c 58.4942
_cell_angle_alpha 90.00
_cell_angle_beta 90.00
_cell_angle_gamma 120.00
loop_
_atom_site_label
_atom_site_fract_x
_atom_site_fract_y
_atom_site_fract_z
Mn1 0.0000 0.0000 0.0000
Mn2 0.0000 0.0000 0.1554
Mn3 0.0000 0.0000 0.2494
Mn4 0.0000 0.0000 0.4069
Mn5 0.9999 0.5000 0.7810
Mn6 0.0015 0.5008 0.0323
Mn7 0.0035 0.5017 0.5297
Mn8 0.0046 0.5023 0.2809
Cu1 0.0000 0.0000 0.0632
Cu2 0.0000 0.0000 0.3126
Cu3 0.0000 0.0000 0.4990
Cu4 0.0000 0.0000 0.5614
Cu5 0.0000 0.0000 0.6568
Cu6 0.0000 0.0000 0.7499
Cu7 0.0000 0.0000 0.8118
Cu8 0.0000 0.0000 0.9052
O1 0.0000 0.0000 0.0972
O2 0.0000 0.0000 0.2143
O3 0.0000 0.0000 0.3477
O4 0.0000 0.0000 0.4649
O5 0.0000 0.0000 0.5960
O6 0.0000 0.0000 0.7161
O7 0.0000 0.0000 0.8455
O8 0.0000 0.0000 0.9655
O9 0.0215 0.5107 0.3476
O10 0.0256 0.5128 0.5958
O11 0.0355 0.5178 0.0950
O12 0.0379 0.5189 0.8435
O13 0.1798 0.3597 0.5475
O14 0.1806 0.3612 0.2989
O15 0.1847 0.3694 0.8003
O16 0.1854 0.3708 0.0519
```

***

Calculated XRD peak list
Compound: CaCoSi2O7
Radiation: Cu Kα (λ = 1.5418 Å)
Structure: a cell relaxed with GGA+U
Peak positions follow from Bragg's law for the DFT cell and can differ from measured ones.

Principal peaks in the range 2θ from 10° to 90°, by intensity:
| 2θ (°) | I (rel.) | (hkl) |
| --- | --- | --- |
| 16.82 | 100 | 0 1 0 |
| 23.20 | 49 | 1 1 1 |
| 30.23 | 47 | 2 1 -1 |
| 30.44 | 39 | 2 1 1 |
| 15.67 | 36 | 1 0 -1 |
| 11.14 | 36 | 1 0 0 |
| 28.07 | 30 | 0 1 2 |
| 28.18 | 28 | 2 1 0 |
| 50.16 | 24 | 3 2 -1 |
| 35.93 | 20 | 3 0 1 |

Atomic structure:
```
data_CaCoSi2O7
_symmetry_space_group_name_H-M 'P 1 2 1'
_symmetry_Int_Tables_number 3
_cell_length_a 7.922
_cell_length_b 5.271
_cell_length_c 7.972
_cell_angle_alpha 90.00
_cell_angle_beta 90.70
_cell_angle_gamma 90.00
loop_
_symmetry_equiv_pos_as_xyz
'x,y,z'
'-x,y,-z'
loop_
_atom_site_label
_atom_site_fract_x
_atom_site_fract_y
_atom_site_fract_z
Ca1 0.165 0.000 0.326
Co1 0.000 0.534 0.000
Co2 0.500 0.524 0.500
Si1 0.132 0.454 0.634
Si2 0.358 0.569 0.141
O1 0.000 0.300 0.500
O2 0.073 0.350 0.816
O3 0.101 0.761 0.600
O4 0.181 0.721 0.090
O5 0.319 0.353 0.583
O6 0.324 0.277 0.189
O7 0.412 0.713 0.322
O8 0.500 0.616 0.000
```

***

Calculated XRD peak list
Compound: NaMn4As3O12
Radiation: Cu Kα (λ = 1.5418 Å)
Structure: a cell relaxed with GGA+U
Peak positions follow from Bragg's law for the DFT cell and can differ from measured ones.

Principal peaks in the range 2θ from 10° to 90°, by intensity:
| 2θ (°) | I (rel.) | (hkl) |
| --- | --- | --- |
| 31.24 | 100 | 2 4 0 |
| 31.71 | 54 | 4 0 0 |
| 33.13 | 40 | 1 3 -2 |
| 29.01 | 35 | 3 1 -2 |
| 24.61 | 30 | 3 1 0 |
| 26.97 | 28 | 1 1 -2 |
| 43.17 | 21 | 5 3 -2 |
| 33.57 | 19 | 1 1 2 |
| 53.71 | 18 | 2 0 -4 |
| 49.71 | 17 | 3 3 2 |

Atomic structure:
```
data_NaMn4As3O12
_symmetry_space_group_name_H-M 'C 1 2/c 1'
_symmetry_Int_Tables_number 15
_cell_length_a 12.495
_cell_length_b 13.292
_cell_length_c 6.923
_cell_angle_alpha 90.00
_cell_angle_beta 115.48
_cell_angle_gamma 90.00
loop_
_symmetry_equiv_pos_as_xyz
'x,y,z'
'-x,-y,-z'
'-x,y,-z+1/2'
'x,-y,z+1/2'
'x+1/2,y+1/2,z'
'-x+1/2,-y+1/2,-z'
'-x+1/2,y+1/2,-z+1/2'
'x+1/2,-y+1/2,z+1/2'
loop_
_atom_site_label
_atom_site_fract_x
_atom_site_fract_y
_atom_site_fract_z
Na1 0.000 0.012 0.250
Mn1 0.000 0.265 0.750
Mn2 0.000 0.500 0.000
Mn3 0.218 0.156 0.634
As1 0.000 0.292 0.250
As2 0.232 0.110 0.132
O1 0.041 0.218 0.473
O2 0.095 0.380 0.220
O3 0.116 0.408 0.795
O4 0.158 0.001 0.607
O5 0.161 0.170 0.888
O6 0.223 0.183 0.328
```

***

Calculated XRD peak list
Compound: CrAgO4
Radiation: Cu Kα (λ = 1.5418 Å)
Structure: a cell relaxed with GGA+U
Peak positions follow from Bragg's law for the DFT cell and can differ from measured ones.

Principal peaks in the range 2θ from 10° to 90°, by intensity:
| 2θ (°) | I (rel.) | (hkl) |
| --- | --- | --- |
| 31.27 | 100 | 1 1 2 |
| 18.41 | 49 | 1 1 0 |
| 35.32 | 40 | 1 3 0 |
| 22.28 | 34 | 1 1 1 |
| 30.49 | 34 | 2 0 0 |
| 21.00 | 27 | 0 2 0 |
| 45.47 | 26 | 2 2 2 |
| 59.87 | 25 | 2 4 2 |
| 24.49 | 19 | 0 2 1 |
| 54.67 | 16 | 3 1 2 |

Atomic structure:
```
data_CrAgO4
_symmetry_space_group_name_H-M 'C m c m'
_symmetry_Int_Tables_number 63
_symmetry_space_group_name_Hall '-C 2c 2'
_cell_length_a 5.864
_cell_length_b 8.460
_cell_length_c 7.110
_cell_angle_alpha 90.00
_cell_angle_beta 90.00
_cell_angle_gamma 90.00
loop_
_atom_site_label
_atom_site_fract_x
_atom_site_fract_y
_atom_site_fract_z
Cr1 0.000 0.147 0.250
Ag1 0.000 0.500 0.000
O1 0.000 0.256 0.055
O2 0.236 0.034 0.250
```

***

Calculated XRD peak list
Compound: Ta9VO25
Radiation: Cu Kα (λ = 1.5418 Å)
Structure: a cell relaxed with GGA+U
Peak positions follow from Bragg's law for the DFT cell and can differ from measured ones.

Principal peaks in the range 2θ from 10° to 90°, by intensity:
| 2θ (°) | I (rel.) | (hkl) |
| --- | --- | --- |
| 25.02 | 100 | 2 4 0 |
| 23.71 | 48 | 1 0 1 |
| 30.76 | 44 | 2 3 1 |
| 32.81 | 37 | 1 4 1 |
| 17.62 | 32 | 1 3 0 |
| 38.35 | 27 | 5 2 1 |
| 35.68 | 25 | 6 2 0 |
| 52.03 | 23 | 4 7 1 |
| 26.26 | 21 | 1 2 1 |
| 54.03 | 21 | 2 4 2 |

Atomic structure:
```
data_Ta9VO25
_symmetry_space_group_name_H-M 'I -4'
_symmetry_Int_Tables_number 82
_cell_length_a 15.916
_cell_length_b 15.916
_cell_length_c 3.861
_cell_angle_alpha 90.00
_cell_angle_beta 90.00
_cell_angle_gamma 90.00
loop_
_symmetry_equiv_pos_as_xyz
'x,y,z'
'y,-x,-z'
'-x,-y,z'
'-y,x,-z'
'x+1/2,y+1/2,z+1/2'
'y+1/2,-x+1/2,-z+1/2'
'-x+1/2,-y+1/2,z+1/2'
'-y+1/2,x+1/2,-z+1/2'
loop_
_atom_site_label
_atom_site_fract_x
_atom_site_fract_y
_atom_site_fract_z
Ta1 0.000 0.000 0.000
Ta2 0.102 0.220 0.002
Ta3 0.119 0.677 0.003
V1 0.000 0.500 0.750
O1 0.000 0.000 0.500
O2 0.012 0.722 0.005
O3 0.052 0.115 0.000
O4 0.059 0.428 0.510
O5 0.112 0.252 0.503
O6 0.148 0.659 0.498
O7 0.176 0.784 0.993
```